For Ba2CaTaN4, a structure optimized by DFT (PBE) gives the computed PXRD pattern in this record (CuKα).

Main lines, in order of falling intensity (2θ = 5–70°):
2θ/deg	I/Imax
29.76	100
28.18	32
27.66	26
39.90	25
50.87	22
50.24	19
17.63	17
17.83	15
61.80	13
45.14	10
54.07	10
38.51	9

Structural model:
a = 8.0343 Å, b = 6.4507 Å, c = 6.3335 Å
α = 90.00°, β = 90.00°, γ = 90.00°
Positions (direct):
Ba: 0.2460 0.2292 0.0000
Ba: 0.2540 0.7708 0.5000
Ba: 0.7460 0.7708 0.5000
Ba: 0.7540 0.2292 0.0000
Ca: 0.0000 0.7654 0.9994
Ca: 0.5000 0.2346 0.4994
Ta: 0.0000 0.2071 0.4992
Ta: 0.5000 0.7929 0.9992
N: 0.0000 0.0191 0.2580
N: 0.0000 0.0211 0.7422
N: 0.2145 0.3565 0.4976
N: 0.2855 0.6435 0.9976
N: 0.5000 0.9789 0.2422
N: 0.5000 0.9809 0.7580
N: 0.7145 0.6435 0.9976
N: 0.7855 0.3565 0.4976



For BaNa2Ca, a structure optimized by DFT (PBE) gives the computed PXRD pattern in this record (CuKα).

Main lines, in order of falling intensity (2θ = 5–70°):
2θ/deg	I/Imax
28.25	100
50.02	39
19.88	37
17.19	33
33.26	21
40.38	19
45.40	17
66.15	16
58.44	12
34.79	12
44.19	9
62.36	8

Structural model:
a = 8.9337 Å, b = 8.9337 Å, c = 8.9337 Å
α = 90.00°, β = 90.00°, γ = 90.00°
Positions (direct):
Ba: 0.0000 0.0000 0.0000
Ba: 0.0000 0.5000 0.5000
Ba: 0.5000 0.0000 0.5000
Ba: 0.5000 0.5000 0.0000
Na: 0.2500 0.2500 0.2500
Na: 0.2500 0.2500 0.7500
Na: 0.2500 0.7500 0.2500
Na: 0.2500 0.7500 0.7500
Na: 0.7500 0.2500 0.2500
Na: 0.7500 0.2500 0.7500
Na: 0.7500 0.7500 0.2500
Na: 0.7500 0.7500 0.7500
Ca: 0.0000 0.0000 0.5000
Ca: 0.0000 0.5000 0.0000
Ca: 0.5000 0.0000 0.0000
Ca: 0.5000 0.5000 0.5000



For Ba2Na4Ca5, a structure optimized by DFT (PBE) gives the computed PXRD pattern in this record (CuKα).

Main lines, in order of falling intensity (2θ = 5–70°):
2θ/deg	I/Imax
28.03	100
29.11	99
14.43	83
20.48	78
23.27	69
25.73	68
26.33	64
24.85	62
27.45	60
31.10	51
31.22	47
45.05	41

Structural model:
a = 8.9672 Å, b = 8.9672 Å, c = 10.8301 Å
α = 126.89°, β = 126.89°, γ = 49.09°
Positions (direct):
Ba: 0.1887 0.1887 0.1900
Ba: 0.8113 0.8113 0.8100
Na: 0.2536 0.2536 0.5949
Na: 0.2546 0.2546 0.9174
Na: 0.7454 0.7454 0.0826
Na: 0.7464 0.7464 0.4051
Ca: 0.2547 0.7446 0.3195
Ca: 0.2554 0.7453 0.6805
Ca: 0.5000 0.5000 0.0000
Ca: 0.7446 0.2547 0.3195
Ca: 0.7453 0.2554 0.6805



For BaNaCa3, a structure optimized by DFT (PBE) gives the computed PXRD pattern in this record (CuKα).

Main lines, in order of falling intensity (2θ = 5–70°):
2θ/deg	I/Imax
26.38	100
26.18	82
30.79	39
16.07	34
21.53	29
28.54	27
31.89	24
20.09	21
25.22	19
44.92	18
42.48	17
10.02	17

Structural model:
a = 9.8211 Å, b = 9.8211 Å, c = 8.9475 Å
α = 108.88°, β = 108.88°, γ = 34.39°
Positions (direct):
Ba: 0.0445 0.0445 0.2890
Ba: 0.9555 0.9555 0.7110
Na: 0.4170 0.4170 0.9932
Na: 0.5830 0.5830 0.0068
Ca: 0.1901 0.1901 0.0082
Ca: 0.2601 0.2601 0.6454
Ca: 0.3831 0.3831 0.3566
Ca: 0.6169 0.6169 0.6434
Ca: 0.7399 0.7399 0.3546
Ca: 0.8099 0.8099 0.9918



For BaNa14Ca, a structure optimized by DFT (PBE) gives the computed PXRD pattern in this record (CuKα).

Main lines, in order of falling intensity (2θ = 5–70°):
2θ/deg	I/Imax
28.68	100
32.68	36
55.89	27
48.12	21
18.28	18
8.46	17
14.23	15
34.32	15
58.04	12
46.89	12
24.50	12
16.17	12

Structural model:
a = 7.7504 Å, b = 7.7504 Å, c = 10.4521 Å
α = 90.00°, β = 90.00°, γ = 90.11°
Positions (direct):
Ba: 0.0000 0.0000 0.0000
Na: 0.0000 0.0000 0.5000
Na: 0.0000 0.5000 0.0000
Na: 0.0000 0.5000 0.5000
Na: 0.2584 0.2584 0.2668
Na: 0.2584 0.2584 0.7332
Na: 0.2581 0.7419 0.2668
Na: 0.2581 0.7419 0.7332
Na: 0.5000 0.0000 0.0000
Na: 0.5000 0.0000 0.5000
Na: 0.5000 0.5000 0.5000
Na: 0.7419 0.2581 0.2668
Na: 0.7419 0.2581 0.7332
Na: 0.7416 0.7416 0.2668
Na: 0.7416 0.7416 0.7332
Ca: 0.5000 0.5000 0.0000



For Ba3Na2Ca5, a structure optimized by DFT (PBE) gives the computed PXRD pattern in this record (CuKα).

Main lines, in order of falling intensity (2θ = 5–70°):
2θ/deg	I/Imax
26.67	100
22.35	79
27.43	47
15.58	45
28.10	39
41.46	34
30.49	32
35.61	21
43.01	18
50.41	17
18.05	16
33.52	15

Structural model:
a = 11.3936 Å, b = 11.3936 Å, c = 11.3936 Å
α = 123.27°, β = 88.91°, γ = 118.06°
Positions (direct):
Ba: 0.1323 0.7268 0.8591
Ba: 0.2500 0.2500 0.0000
Ba: 0.3677 0.2268 0.5946
Ba: 0.6323 0.7732 0.4054
Ba: 0.7500 0.7500 0.0000
Ba: 0.8677 0.2732 0.1409
Na: 0.1484 0.0604 0.2088
Na: 0.3516 0.5604 0.9120
Na: 0.6484 0.4396 0.0880
Na: 0.8516 0.9396 0.7912
Ca: 0.0103 0.7500 0.2603
Ca: 0.1167 0.3632 0.4799
Ca: 0.2500 0.7500 0.5000
Ca: 0.3833 0.8632 0.2464
Ca: 0.4897 0.7500 0.7397
Ca: 0.5103 0.2500 0.2603
Ca: 0.6167 0.1368 0.7536
Ca: 0.7500 0.2500 0.5000
Ca: 0.8833 0.6368 0.5201
Ca: 0.9897 0.2500 0.7397



For Ba5Na2Ca4, a structure optimized by DFT (PBE) gives the computed PXRD pattern in this record (CuKα).

Main lines, in order of falling intensity (2θ = 5–70°):
2θ/deg	I/Imax
26.29	100
27.07	51
17.18	31
19.75	24
28.69	22
40.14	21
18.32	21
27.77	19
24.91	16
44.18	16
28.38	15
25.44	14

Structural model:
a = 10.6228 Å, b = 23.5960 Å, c = 4.4944 Å
α = 90.00°, β = 90.00°, γ = 90.00°
Positions (direct):
Ba: 0.0000 0.0000 0.0000
Ba: 0.1261 0.4279 0.0000
Ba: 0.2273 0.2159 0.0000
Ba: 0.2727 0.7159 0.0000
Ba: 0.3739 0.9279 0.0000
Ba: 0.5000 0.5000 0.0000
Ba: 0.6261 0.0721 0.0000
Ba: 0.7273 0.2841 0.0000
Ba: 0.7727 0.7841 0.0000
Ba: 0.8739 0.5721 0.0000
Na: 0.0192 0.3056 0.5000
Na: 0.4808 0.8056 0.5000
Na: 0.5192 0.1944 0.5000
Na: 0.9808 0.6944 0.5000
Ca: 0.0802 0.8518 0.5000
Ca: 0.2135 0.5702 0.5000
Ca: 0.2865 0.0702 0.5000
Ca: 0.4198 0.3518 0.5000
Ca: 0.5802 0.6482 0.5000
Ca: 0.7135 0.9298 0.5000
Ca: 0.7865 0.4298 0.5000
Ca: 0.9198 0.1482 0.5000



For Ba4NaCa2, a structure optimized by DFT (PBE) gives the computed PXRD pattern in this record (CuKα).

Main lines, in order of falling intensity (2θ = 5–70°):
2θ/deg	I/Imax
26.43	100
25.63	73
30.45	61
25.18	60
13.19	48
23.01	31
52.88	28
15.97	25
45.13	23
34.37	22
53.52	21
29.81	21

Structural model:
a = 7.0743 Å, b = 4.0354 Å, c = 13.8836 Å
α = 90.00°, β = 104.75°, γ = 90.00°
Positions (direct):
Ba: 0.0782 0.0000 0.1561
Ba: 0.3621 0.5000 0.7258
Ba: 0.6379 0.5000 0.2742
Ba: 0.9218 0.0000 0.8439
Na: 0.5000 0.0000 0.0000
Ca: 0.2151 0.5000 0.4288
Ca: 0.7849 0.5000 0.5712



For BaNaCa5, a structure optimized by DFT (PBE) gives the computed PXRD pattern in this record (CuKα).

Main lines, in order of falling intensity (2θ = 5–70°):
2θ/deg	I/Imax
28.16	100
22.24	30
34.50	29
17.05	28
18.48	26
45.38	24
58.00	23
28.58	22
50.36	15
41.43	11
58.23	11
33.47	10

Structural model:
a = 5.2001 Å, b = 5.2001 Å, c = 12.4942 Å
α = 90.00°, β = 90.00°, γ = 90.00°
Positions (direct):
Ba: 0.0000 0.0000 0.0000
Na: 0.5000 0.5000 0.5000
Ca: 0.0000 0.0000 0.5000
Ca: 0.0000 0.5000 0.2679
Ca: 0.0000 0.5000 0.7321
Ca: 0.5000 0.0000 0.2679
Ca: 0.5000 0.0000 0.7321



For Ba4Na2CaTi3Si4S2O26, a structure optimized by DFT (PBE) gives the computed PXRD pattern in this record (CuKα).

Main lines, in order of falling intensity (2θ = 5–70°):
2θ/deg	I/Imax
32.76	100
25.35	87
5.98	86
31.22	84
25.53	70
26.03	69
31.78	62
23.96	59
21.04	55
41.65	48
29.21	48
27.68	46

Structural model:
a = 5.4928 Å, b = 7.2101 Å, c = 15.0071 Å
α = 81.10°, β = 85.25°, γ = 89.99°
Positions (direct):
Ba: 0.0000 0.0000 0.0000
Ba: 0.0689 0.2850 0.6870
Ba: 0.4814 0.4631 0.0867
Ba: 0.5511 0.7485 0.7741
Na: 0.2752 0.1399 0.3874
Na: 0.7747 0.8789 0.3870
Ca: 0.2740 0.5992 0.3868
Ti: 0.0936 0.8106 0.5885
Ti: 0.4569 0.9370 0.1854
Ti: 0.7744 0.3621 0.3873
Si: 0.5975 0.0966 0.5773
Si: 0.5978 0.5317 0.5767
Si: 0.9527 0.2170 0.1984
Si: 0.9526 0.6526 0.1957
S: 0.0206 0.5768 0.9110
S: 0.5311 0.1717 0.8632
O: 0.0116 0.3768 0.9506
O: 0.0327 0.3613 0.4592
O: 0.0437 0.6042 0.8095
O: 0.1158 0.8424 0.4741
O: 0.2089 0.1361 0.1533
O: 0.2105 0.7609 0.1493
O: 0.2350 0.6718 0.9417
O: 0.3165 0.0775 0.8322
O: 0.3404 0.9879 0.6230
O: 0.3409 0.6117 0.6224
O: 0.4346 0.8943 0.2997
O: 0.5079 0.1436 0.9647
O: 0.5157 0.4055 0.3156
O: 0.5411 0.3718 0.8241
O: 0.5847 0.3009 0.6184
O: 0.6115 0.5659 0.4679
O: 0.6153 0.1319 0.4682
O: 0.7200 0.1356 0.1523
O: 0.7199 0.7618 0.1482
O: 0.7594 0.0765 0.8324
O: 0.7920 0.6717 0.9417
O: 0.8296 0.6124 0.6234
O: 0.8312 0.9873 0.6241
O: 0.9349 0.1841 0.3074
O: 0.9381 0.6186 0.3046
O: 0.9653 0.4471 0.1556



For BaNaCaPb, a structure optimized by DFT (PBE) gives the computed PXRD pattern in this record (CuKα).

Main lines, in order of falling intensity (2θ = 5–70°):
2θ/deg	I/Imax
30.31	100
18.42	53
53.85	39
35.70	32
43.40	19
47.52	15
63.05	12
57.41	11
66.30	11
21.31	2
48.83	1
37.35	1

Structural model:
a = 8.3405 Å, b = 8.3405 Å, c = 8.3405 Å
α = 90.00°, β = 90.00°, γ = 90.00°
Positions (direct):
Ba: 0.0000 0.0000 0.0000
Ba: 0.0000 0.5000 0.5000
Ba: 0.5000 0.0000 0.5000
Ba: 0.5000 0.5000 0.0000
Na: 0.2500 0.2500 0.7500
Na: 0.2500 0.7500 0.2500
Na: 0.7500 0.2500 0.2500
Na: 0.7500 0.7500 0.7500
Ca: 0.0000 0.0000 0.5000
Ca: 0.0000 0.5000 0.0000
Ca: 0.5000 0.0000 0.0000
Ca: 0.5000 0.5000 0.5000
Pb: 0.2500 0.2500 0.2500
Pb: 0.2500 0.7500 0.7500
Pb: 0.7500 0.2500 0.7500
Pb: 0.7500 0.7500 0.2500



For Ba3NaSr6Ca2, a structure optimized by DFT (PBE) gives the computed PXRD pattern in this record (CuKα).

Main lines, in order of falling intensity (2θ = 5–70°):
2θ/deg	I/Imax
26.42	100
6.80	26
26.97	24
27.45	21
47.31	20
38.87	17
47.91	16
23.55	14
54.38	12
45.97	11
36.51	11
59.80	10

Structural model:
a = 8.0898 Å, b = 8.0898 Å, c = 12.9949 Å
α = 90.04°, β = 90.04°, γ = 131.76°
Positions (direct):
Ba: 0.0000 0.0000 0.0000
Ba: 0.3306 0.6694 0.0000
Ba: 0.6694 0.3306 0.0000
Na: 0.0000 0.0000 0.5000
Sr: 0.1663 0.8344 0.2693
Sr: 0.1656 0.8337 0.7307
Sr: 0.5003 0.5003 0.2530
Sr: 0.4997 0.4997 0.7470
Sr: 0.8344 0.1663 0.2693
Sr: 0.8337 0.1656 0.7307
Ca: 0.3423 0.6577 0.5000
Ca: 0.6577 0.3423 0.5000